1.
Starting from a GGA-PBE-relaxed structure, the powder diffractogram of CdTc2PbO8 was simulated for Cu Kα, 1.54184 Å.
Peak positions follow from Bragg's law for the DFT cell and can differ from measured ones.

Crystal structure
Unit cell a=5.3102 b=5.3102 c=22.8876 alpha=90.00 beta=90.00 gamma=120.00
Space group R32 (No. 155, hexagonal axes)
Inequivalent atoms, fractional coordinates:
Cd  0.0000  0.0000  0.0000
Tc  0.0000  0.0000  0.2489
Pb  0.0000  0.0000  0.5000
O  0.0000  0.0000  0.1712
O  0.0020  0.3467  0.9359

Largest 6 diffraction maxima, sorted by position, 10° ≤ 2θ ≤ 80°:
24.84°, d = 3.585 Å, intensity 100, hkl 1 0 4
33.76°, d = 2.655 Å, intensity 46, hkl 1 1 0
37.01°, d = 2.429 Å, intensity 35, hkl 0 1 8
42.36°, d = 2.134 Å, intensity 24, hkl 0 2 4
55.23°, d = 1.663 Å, intensity 22, hkl 2 1 4
59.69°, d = 1.549 Å, intensity 20, hkl 1 1 12

***

2.
Starting from a GGA-PBE-relaxed structure, the powder diffractogram of MgNb2Zn2 was simulated for Cu Kα, 1.54184 Å.
Peak positions follow from Bragg's law for the DFT cell and can differ from measured ones.

Crystal structure
Unit cell a=7.876 b=7.876 c=2.973 alpha=90.00 beta=90.00 gamma=90.00
Space group P4/mbm (No. 127)
Inequivalent atoms, fractional coordinates:
Mg  0.000  0.000  0.000
Nb  0.118  0.382  0.000
Zn  0.179  0.679  0.500

Largest 6 diffraction maxima, sorted by position, 10° ≤ 2θ ≤ 80°:
15.91°, d = 5.569 Å, intensity 52, hkl 1 1 0
36.06°, d = 2.491 Å, intensity 37, hkl 3 1 0
37.92°, d = 2.373 Å, intensity 19, hkl 2 0 1
39.67°, d = 2.272 Å, intensity 100, hkl 2 1 1
41.33°, d = 2.184 Å, intensity 26, hkl 3 2 0
77.67°, d = 1.229 Å, intensity 17, hkl 5 3 1

***

What did the first record say?
Starting from a GGA-PBE-relaxed structure, the powder diffractogram of CdTc2PbO8 was simulated for Cu Kα, 1.54184 Å.
Peak positions follow from Bragg's law for the DFT cell and can differ from measured ones.

Crystal structure
Unit cell a=5.3102 b=5.3102 c=22.8876 alpha=90.00 beta=90.00 gamma=120.00
Space group R32 (No. 155, hexagonal axes)
Inequivalent atoms, fractional coordinates:
Cd  0.0000  0.0000  0.0000
Tc  0.0000  0.0000  0.2489
Pb  0.0000  0.0000  0.5000
O  0.0000  0.0000  0.1712
O  0.0020  0.3467  0.9359

Largest 6 diffraction maxima, sorted by position, 10° ≤ 2θ ≤ 80°:
24.84°, d = 3.585 Å, intensity 100, hkl 1 0 4
33.76°, d = 2.655 Å, intensity 46, hkl 1 1 0
37.01°, d = 2.429 Å, intensity 35, hkl 0 1 8
42.36°, d = 2.134 Å, intensity 24, hkl 0 2 4
55.23°, d = 1.663 Å, intensity 22, hkl 2 1 4
59.69°, d = 1.549 Å, intensity 20, hkl 1 1 12

***

What did the second record say?
Starting from a GGA-PBE-relaxed structure, the powder diffractogram of MgNb2Zn2 was simulated for Cu Kα, 1.54184 Å.
Peak positions follow from Bragg's law for the DFT cell and can differ from measured ones.

Crystal structure
Unit cell a=7.876 b=7.876 c=2.973 alpha=90.00 beta=90.00 gamma=90.00
Space group P4/mbm (No. 127)
Inequivalent atoms, fractional coordinates:
Mg  0.000  0.000  0.000
Nb  0.118  0.382  0.000
Zn  0.179  0.679  0.500

Largest 6 diffraction maxima, sorted by position, 10° ≤ 2θ ≤ 80°:
15.91°, d = 5.569 Å, intensity 52, hkl 1 1 0
36.06°, d = 2.491 Å, intensity 37, hkl 3 1 0
37.92°, d = 2.373 Å, intensity 19, hkl 2 0 1
39.67°, d = 2.272 Å, intensity 100, hkl 2 1 1
41.33°, d = 2.184 Å, intensity 26, hkl 3 2 0
77.67°, d = 1.229 Å, intensity 17, hkl 5 3 1